[1]
Starting from a structure optimized by DFT (PBE), the powder X-ray diffraction pattern of BeNiIr2 was computed for Cu Kα (λ = 1.5418 Å).
Neutral-atom scattering factors, no anomalous dispersion.

```
data_BeNiIr2
_space_group_name_H-M_alt 'P 4 m m'
_space_group_IT_number 99
_cell_length_a 2.738
_cell_length_b 2.738
_cell_length_c 6.349
_cell_angle_alpha 90.00
_cell_angle_beta 90.00
_cell_angle_gamma 90.00
loop_
_space_group_symop_operation_xyz
'x,y,z'
'-y,x,z'
'-x,-y,z'
'y,-x,z'
'-x,y,z'
'y,x,z'
'x,-y,z'
'-y,-x,z'
loop_
_atom_site_label
_atom_site_fract_x
_atom_site_fract_y
_atom_site_fract_z
Be1 0.000 0.000 0.000
Ni1 0.500 0.500 0.810
Ir1 0.000 0.000 0.529
Ir2 0.500 0.500 0.229
```

Largest 8 diffraction maxima, most intense first, 2θ = 10–90°:
two_theta	d (Å)	intensity	index
43.66	2.073	100	1 0 2
35.72	2.514	78	1 0 1
13.95	6.349	59	0 0 1
46.94	1.936	47	1 1 0
84.89	1.142	30	2 1 2
65.33	1.428	25	1 1 3
42.72	2.116	22	0 0 3
84.01	1.152	16	1 0 5

---

[2]
Starting from a structure optimized by DFT (PBE), the powder X-ray diffraction pattern of Be3Ni2Ir was computed for Cu Kα (λ = 1.5418 Å).
Neutral-atom scattering factors, no anomalous dispersion.

```
data_Be3Ni2Ir
_space_group_name_H-M_alt 'C m m m'
_space_group_IT_number 65
_space_group_name_Hall '-C 2 2'
_cell_length_a 3.816
_cell_length_b 11.454
_cell_length_c 5.336
_cell_angle_alpha 90.00
_cell_angle_beta 90.00
_cell_angle_gamma 90.00
loop_
_atom_site_label
_atom_site_fract_x
_atom_site_fract_y
_atom_site_fract_z
Be1 0.000 0.000 0.244
Be2 0.000 0.334 0.243
Ni1 0.000 0.164 0.000
Ni2 0.000 0.500 0.000
Ni3 0.000 0.500 0.500
Ir1 0.000 0.162 0.500
```

Largest 8 diffraction maxima, most intense first, 2θ = 10–90°:
two_theta	d (Å)	intensity	index
33.19	2.699	100	1 3 0
47.95	1.897	89	1 3 2
33.59	2.668	49	0 0 2
47.65	1.908	45	2 0 0
16.61	5.336	43	0 0 1
59.56	1.552	37	2 0 2
89.02	1.100	30	3 3 2
37.34	2.408	25	1 3 1

---

[3]
Starting from a structure optimized by DFT (PBE), the powder X-ray diffraction pattern of Np2Be3Si4Ir was computed for Cu Kα (λ = 1.5418 Å).
Neutral-atom scattering factors, no anomalous dispersion.

```
data_Np2Be3Si4Ir
_space_group_name_H-M_alt 'P -4 m 2'
_space_group_IT_number 115
_cell_length_a 3.898
_cell_length_b 3.898
_cell_length_c 9.703
_cell_angle_alpha 90.00
_cell_angle_beta 90.00
_cell_angle_gamma 90.00
loop_
_space_group_symop_operation_xyz
'x,y,z'
'y,-x,-z'
'-x,-y,z'
'-y,x,-z'
'-x,y,z'
'-y,-x,-z'
'x,-y,z'
'y,x,-z'
loop_
_atom_site_label
_atom_site_fract_x
_atom_site_fract_y
_atom_site_fract_z
Np1 0.000 0.500 0.238
Be1 0.000 0.500 0.872
Be2 0.500 0.500 0.500
Si1 0.000 0.000 0.000
Si2 0.000 0.500 0.642
Si3 0.500 0.500 0.000
Ir1 0.000 0.000 0.500
```

Largest 8 diffraction maxima, most intense first, 2θ = 10–90°:
two_theta	d (Å)	intensity	index
24.61	3.617	100	1 0 1
37.53	2.396	91	1 1 2
36.09	2.489	52	1 0 3
46.60	1.949	29	2 0 0
53.40	1.716	26	2 1 1
60.32	1.534	24	2 1 3
80.38	1.195	21	3 1 2
52.69	1.737	19	1 0 5

---

[4]
Starting from a structure optimized by DFT (PBE), the powder X-ray diffraction pattern of BeIr2O2 was computed for Cu Kα (λ = 1.5418 Å).
Neutral-atom scattering factors, no anomalous dispersion.

```
data_BeIr2O2
_space_group_name_H-M_alt 'P 4/m b m'
_space_group_IT_number 127
_space_group_name_Hall '-P 4 2ab'
_cell_length_a 6.043
_cell_length_b 6.043
_cell_length_c 3.723
_cell_angle_alpha 90.00
_cell_angle_beta 90.00
_cell_angle_gamma 90.00
loop_
_atom_site_label
_atom_site_fract_x
_atom_site_fract_y
_atom_site_fract_z
Be1 0.000 0.000 0.000
Ir1 0.155 0.345 0.000
O1 0.162 0.338 0.500
```

Largest 8 diffraction maxima, most intense first, 2θ = 10–90°:
two_theta	d (Å)	intensity	index
33.15	2.703	100	2 1 0
41.28	2.187	78	2 1 1
23.90	3.723	69	0 0 1
60.38	1.533	35	2 1 2
20.79	4.273	23	1 1 0
53.93	1.700	20	3 1 1
47.58	1.911	19	3 1 0
29.56	3.022	15	2 0 0

---

[5]
Starting from a structure optimized by DFT (PBE), the powder X-ray diffraction pattern of BeSbIrO6 was computed for Cu Kα (λ = 1.5418 Å).
Neutral-atom scattering factors, no anomalous dispersion.

```
data_BeSbIrO6
_space_group_name_H-M_alt 'P -3 1 c'
_space_group_IT_number 163
_space_group_name_Hall '-P 3 2c'
_cell_length_a 4.9006
_cell_length_b 4.9006
_cell_length_c 8.7305
_cell_angle_alpha 90.00
_cell_angle_beta 90.00
_cell_angle_gamma 120.00
loop_
_atom_site_label
_atom_site_fract_x
_atom_site_fract_y
_atom_site_fract_z
Be1 0.3333 0.6667 0.2500
Sb1 0.0000 0.0000 0.0000
Ir1 0.3333 0.6667 0.7500
O1 0.0186 0.3567 0.1314
```

Largest 8 diffraction maxima, most intense first, 2θ = 10–90°:
two_theta	d (Å)	intensity	index
29.35	3.043	100	1 0 2
23.30	3.817	85	1 0 1
56.46	1.630	42	1 1 4
36.68	2.450	41	1 1 0
37.47	2.400	29	1 0 3
47.65	1.908	26	2 0 2
61.60	1.506	24	2 1 2
43.91	2.062	19	2 0 1

---

[6]
Starting from a structure optimized by DFT (PBE), the powder X-ray diffraction pattern of BeTlIrO5 was computed for Cu Kα (λ = 1.5418 Å).
Neutral-atom scattering factors, no anomalous dispersion.

```
data_BeTlIrO5
_space_group_name_H-M_alt 'C 1 2/c 1'
_space_group_IT_number 15
_cell_length_a 6.640
_cell_length_b 8.725
_cell_length_c 7.118
_cell_angle_alpha 90.00
_cell_angle_beta 115.39
_cell_angle_gamma 90.00
loop_
_space_group_symop_operation_xyz
'x,y,z'
'-x,-y,-z'
'-x,y,-z+1/2'
'x,-y,z+1/2'
'x+1/2,y+1/2,z'
'-x+1/2,-y+1/2,-z'
'-x+1/2,y+1/2,-z+1/2'
'x+1/2,-y+1/2,z+1/2'
loop_
_atom_site_label
_atom_site_fract_x
_atom_site_fract_y
_atom_site_fract_z
Be1 0.000 0.187 0.250
Tl1 0.000 0.163 0.750
Ir1 0.000 0.500 0.000
O1 0.000 0.422 0.750
O2 0.092 0.287 0.108
O3 0.189 0.058 0.404
```

Largest 8 diffraction maxima, most intense first, 2θ = 10–90°:
two_theta	d (Å)	intensity	index
27.22	3.276	100	1 1 -2
34.27	2.617	79	1 3 0
29.79	2.999	67	2 0 0
18.37	4.829	64	1 1 -1
34.66	2.588	43	0 2 2
24.66	3.610	31	0 2 1
61.83	1.500	27	1 3 -4
38.41	2.343	26	1 1 2

---

[7]
Starting from a structure optimized by DFT (PBE), the powder X-ray diffraction pattern of YBe2IrO8 was computed for Cu Kα (λ = 1.5418 Å).
Neutral-atom scattering factors, no anomalous dispersion.

```
data_YBe2IrO8
_space_group_name_H-M_alt 'P -3 m 1'
_space_group_IT_number 164
_space_group_name_Hall '-P 3 2"'
_cell_length_a 5.1586
_cell_length_b 5.1586
_cell_length_c 6.2035
_cell_angle_alpha 90.00
_cell_angle_beta 90.00
_cell_angle_gamma 120.00
loop_
_atom_site_label
_atom_site_fract_x
_atom_site_fract_y
_atom_site_fract_z
Y1 0.0000 0.0000 0.0000
Be1 0.3333 0.6667 0.2314
Ir1 0.0000 0.0000 0.5000
O1 0.1642 0.3283 0.3086
O2 0.3333 0.6667 0.9712
```

Largest 8 diffraction maxima, most intense first, 2θ = 10–90°:
two_theta	d (Å)	intensity	index
19.87	4.467	100	1 0 0
35.22	2.548	42	1 0 2
45.75	1.983	31	1 1 2
34.78	2.579	28	1 1 0
24.56	3.625	25	1 0 1
50.34	1.813	22	2 0 2
62.64	1.483	17	2 1 2
54.33	1.689	13	2 1 0

---

[8]
Starting from a structure optimized by DFT (PBE), the powder X-ray diffraction pattern of UBePIr was computed for Cu Kα (λ = 1.5418 Å).
Neutral-atom scattering factors, no anomalous dispersion.

```
data_UBePIr
_space_group_name_H-M_alt 'P 4/n m m'
_space_group_IT_number 129
_cell_length_a 3.973
_cell_length_b 3.973
_cell_length_c 8.281
_cell_angle_alpha 90.00
_cell_angle_beta 90.00
_cell_angle_gamma 90.00
loop_
_space_group_symop_operation_xyz
'x,y,z'
'-x,-y,-z'
'-y+1/2,x,z'
'y+1/2,-x,-z'
'-x+1/2,-y+1/2,z'
'x+1/2,y+1/2,-z'
'y,-x+1/2,z'
'-y,x+1/2,-z'
'x+1/2,-y,-z'
'-x+1/2,y,z'
'-y,-x,-z'
'y,x,z'
'-x,y+1/2,-z'
'x,-y+1/2,z'
'y+1/2,x+1/2,-z'
'-y+1/2,-x+1/2,z'
loop_
_atom_site_label
_atom_site_fract_x
_atom_site_fract_y
_atom_site_fract_z
U1 0.250 0.250 0.213
Be1 0.250 0.250 0.630
P1 0.250 0.250 0.881
Ir1 0.250 0.750 0.500
```

Largest 8 diffraction maxima, most intense first, 2θ = 10–90°:
two_theta	d (Å)	intensity	index
38.74	2.325	100	1 1 2
24.86	3.582	76	1 0 1
33.69	2.660	64	1 1 1
10.68	8.281	47	0 0 1
45.67	1.986	42	2 0 0
32.44	2.760	32	0 0 3
57.13	1.612	26	2 0 3
79.77	1.202	26	3 1 2

---

[9]
Starting from a structure optimized by DFT (PBE), the powder X-ray diffraction pattern of PaBe5Ir was computed for Cu Kα (λ = 1.5418 Å).
Neutral-atom scattering factors, no anomalous dispersion.

```
data_PaBe5Ir
_space_group_name_H-M_alt 'P n m a'
_space_group_IT_number 62
_cell_length_a 7.663
_cell_length_b 4.437
_cell_length_c 9.641
_cell_angle_alpha 90.00
_cell_angle_beta 90.00
_cell_angle_gamma 90.00
loop_
_space_group_symop_operation_xyz
'x,y,z'
'-x,-y,-z'
'-x+1/2,-y,z+1/2'
'x+1/2,y,-z+1/2'
'x+1/2,-y+1/2,-z+1/2'
'-x+1/2,y+1/2,z+1/2'
'-x,y+1/2,-z'
'x,-y+1/2,z'
loop_
_atom_site_label
_atom_site_fract_x
_atom_site_fract_y
_atom_site_fract_z
Pa1 0.228 0.250 0.061
Be1 0.031 0.750 0.122
Be2 0.058 0.007 0.314
Be3 0.074 0.250 0.513
Be4 0.204 0.250 0.749
Ir1 0.142 0.750 0.859
```

Largest 8 diffraction maxima, most intense first, 2θ = 10–90°:
two_theta	d (Å)	intensity	index
22.05	4.031	100	0 1 1
41.91	2.156	93	3 1 1
36.44	2.466	79	1 1 3
34.46	2.603	59	0 1 3
24.98	3.565	58	2 0 1
29.76	3.002	56	2 0 2
23.21	3.832	54	2 0 0
14.77	5.999	48	1 0 1

---

[10]
Starting from a structure optimized by DFT (PBE), the powder X-ray diffraction pattern of PaBeIr was computed for Cu Kα (λ = 1.5418 Å).
Neutral-atom scattering factors, no anomalous dispersion.

```
data_PaBeIr
_space_group_name_H-M_alt 'I m m a'
_space_group_IT_number 74
_space_group_name_Hall '-I 2b 2'
_cell_length_a 4.699
_cell_length_b 5.595
_cell_length_c 7.414
_cell_angle_alpha 90.00
_cell_angle_beta 90.00
_cell_angle_gamma 90.00
loop_
_atom_site_label
_atom_site_fract_x
_atom_site_fract_y
_atom_site_fract_z
Pa1 0.000 0.250 0.131
Be1 0.250 0.250 0.750
Ir1 0.000 0.000 0.500
```

Largest 8 diffraction maxima, most intense first, 2θ = 10–90°:
two_theta	d (Å)	intensity	index
39.41	2.287	100	1 2 1
34.74	2.582	61	1 1 2
19.88	4.466	59	0 1 1
41.27	2.187	50	1 0 3
38.31	2.349	39	2 0 0
73.33	1.291	25	2 2 4
59.86	1.545	21	0 2 4
24.01	3.707	21	0 0 2

---

[11]
Starting from a structure optimized by DFT (PBE), the powder X-ray diffraction pattern of PaBeIr was computed for Cu Kα (λ = 1.5418 Å).
Neutral-atom scattering factors, no anomalous dispersion.

```
data_PaBeIr
_space_group_name_H-M_alt 'P -6 m 2'
_space_group_IT_number 187
_space_group_name_Hall 'P -6 2'
_cell_length_a 4.1334
_cell_length_b 4.1334
_cell_length_c 3.5510
_cell_angle_alpha 90.00
_cell_angle_beta 90.00
_cell_angle_gamma 120.00
loop_
_atom_site_label
_atom_site_fract_x
_atom_site_fract_y
_atom_site_fract_z
Pa1 0.0000 0.0000 0.0000
Be1 0.6667 0.3333 0.5000
Ir1 0.3333 0.6667 0.5000
```

Largest 8 diffraction maxima, most intense first, 2θ = 10–90°:
two_theta	d (Å)	intensity	index
35.61	2.521	100	1 0 1
24.87	3.580	40	1 0 0
43.80	2.067	39	1 1 0
57.68	1.598	26	2 0 1
75.14	1.264	24	2 1 1
69.84	1.347	20	1 1 2
86.62	1.124	9	1 0 3
51.47	1.776	8	0 0 2

---

[12]
Starting from a structure optimized by DFT (PBE), the powder X-ray diffraction pattern of Pa2Be4Si3Ir was computed for Cu Kα (λ = 1.5418 Å).
Neutral-atom scattering factors, no anomalous dispersion.

```
data_Pa2Be4Si3Ir
_space_group_name_H-M_alt 'P -4 m 2'
_space_group_IT_number 115
_cell_length_a 3.911
_cell_length_b 3.911
_cell_length_c 9.435
_cell_angle_alpha 90.00
_cell_angle_beta 90.00
_cell_angle_gamma 90.00
loop_
_space_group_symop_operation_xyz
'x,y,z'
'y,-x,-z'
'-x,-y,z'
'-y,x,-z'
'-x,y,z'
'-y,-x,-z'
'x,-y,z'
'y,x,-z'
loop_
_atom_site_label
_atom_site_fract_x
_atom_site_fract_y
_atom_site_fract_z
Pa1 0.000 0.500 0.249
Be1 0.000 0.000 0.500
Be2 0.000 0.500 0.868
Be3 0.500 0.500 0.500
Si1 0.000 0.000 0.000
Si2 0.000 0.500 0.630
Ir1 0.500 0.500 0.000
```

Largest 8 diffraction maxima, most intense first, 2θ = 10–90°:
two_theta	d (Å)	intensity	index
24.64	3.613	100	1 0 1
37.70	2.386	87	1 1 2
36.67	2.451	54	1 0 3
46.44	1.955	29	2 0 0
53.27	1.720	26	2 1 1
60.58	1.529	26	2 1 3
80.24	1.196	20	3 1 2
53.95	1.700	19	1 0 5

---

[13]
Starting from a structure optimized by DFT (PBE), the powder X-ray diffraction pattern of Pa2Be4ZnIr3 was computed for Cu Kα (λ = 1.5418 Å).
Neutral-atom scattering factors, no anomalous dispersion.

```
data_Pa2Be4ZnIr3
_space_group_name_H-M_alt 'P -4 m 2'
_space_group_IT_number 115
_cell_length_a 3.848
_cell_length_b 3.848
_cell_length_c 10.085
_cell_angle_alpha 90.00
_cell_angle_beta 90.00
_cell_angle_gamma 90.00
loop_
_space_group_symop_operation_xyz
'x,y,z'
'y,-x,-z'
'-x,-y,z'
'-y,x,-z'
'-x,y,z'
'-y,-x,-z'
'x,-y,z'
'y,x,-z'
loop_
_atom_site_label
_atom_site_fract_x
_atom_site_fract_y
_atom_site_fract_z
Pa1 0.000 0.500 0.247
Be1 0.000 0.000 0.000
Be2 0.000 0.500 0.628
Be3 0.500 0.500 0.000
Zn1 0.000 0.000 0.500
Ir1 0.000 0.500 0.863
Ir2 0.500 0.500 0.500
```

Largest 8 diffraction maxima, most intense first, 2θ = 10–90°:
two_theta	d (Å)	intensity	index
37.56	2.395	100	1 1 2
35.46	2.532	86	1 0 3
47.24	1.924	53	2 0 0
34.13	2.627	52	1 1 1
51.13	1.787	46	1 0 5
29.19	3.059	42	1 0 2
60.43	1.532	38	2 1 3
32.91	2.721	38	1 1 0

---

[14]
Starting from a structure optimized by DFT (PBE), the powder X-ray diffraction pattern of PmBeIr was computed for Cu Kα (λ = 1.5418 Å).
Neutral-atom scattering factors, no anomalous dispersion.

```
data_PmBeIr
_space_group_name_H-M_alt 'P -6 m 2'
_space_group_IT_number 187
_space_group_name_Hall 'P -6 2'
_cell_length_a 3.9550
_cell_length_b 3.9550
_cell_length_c 4.1564
_cell_angle_alpha 90.00
_cell_angle_beta 90.00
_cell_angle_gamma 120.00
loop_
_atom_site_label
_atom_site_fract_x
_atom_site_fract_y
_atom_site_fract_z
Pm1 0.0000 0.0000 0.0000
Be1 0.6667 0.3333 0.5000
Ir1 0.3333 0.6667 0.5000
```

Largest 8 diffraction maxima, most intense first, 2θ = 10–90°:
two_theta	d (Å)	intensity	index
33.91	2.643	100	1 0 1
26.01	3.425	32	1 0 0
45.89	1.978	30	1 1 0
58.27	1.583	21	2 0 1
65.11	1.433	21	1 1 2
77.18	1.236	19	2 1 1
43.55	2.078	12	0 0 2
73.77	1.284	11	1 0 3